For SmVO4, a crystal structure in Alexandria, relaxed with PBE+U gives the simulated X-ray diffraction stick pattern in this record (Cu Ka).

Most intense lines, 10 to 90 degrees two-theta, most intense first:
hkl 0 2 2, 2θ = 24.2°, I = 100; hkl 2 2 0, 2θ = 32.7°, I = 69; hkl 2 4 2, 2θ = 48.2°, I = 59; hkl 1 1 1, 2θ = 18.3°, I = 36; hkl 0 0 4, 2θ = 34.5°, I = 21; hkl 2 6 0, 2θ = 60.6°, I = 17; hkl 0 4 4, 2θ = 49.6°, I = 16; hkl 1 3 3, 2θ = 39.3°, I = 15; hkl 0 6 2, 2θ = 55.9°, I = 13; hkl 2 6 4, 2θ = 71.7°, I = 13

Structural model:
abc: 6.4427 10.3956 10.4151
angles: 90.00 90.00 90.00
Space group Fddd (No. 70, origin choice 2)
Unique sites:
Sm 0.1250 0.1250 0.1250 (multiplicity 8)
V 0.1250 0.1250 0.6250 (multiplicity 8)
O 0.0482 0.2840 0.9658 (multiplicity 32)